This entry pairs a crystal structure of Cd3HgTe4 with its calculated PXRD pattern. Radiation: Cu Kα (λ = 1.5418 Å). Structure: the PBE geometry in Alexandria.

Structural model:
a = 4.681 Å, b = 4.681 Å, c = 13.245 Å
α = 90.00°, β = 90.00°, γ = 90.00°
Sites, in units of the cell vectors:
Cd  0.000  0.000  0.000
Cd  0.500  0.500  0.249
Cd  0.500  0.500  0.751
Hg  0.000  0.000  0.500
Te  0.000  0.500  0.125
Te  0.000  0.500  0.626
Te  0.500  0.000  0.374
Te  0.500  0.000  0.875

The 12 most intense peaks (2θ = 10–90°), in order of falling intensity:
| Position (°2θ) | intensity |
| --- | --- |
| 23.3 | 100 |
| 38.5 | 81 |
| 45.4 | 50 |
| 69.6 | 27 |
| 61.0 | 20 |
| 87.1 | 16 |
| 74.5 | 15 |
| 55.5 | 14 |
| 82.4 | 9 |
| 20.1 | 2 |
| 27.8 | 2 |
| 43.8 | 1 |